Computed powder XRD pattern
Compound: AlAg5Pd6
Radiation: copper Kα
Structure: a structure optimized by DFT (PBE)
Neutral-atom scattering factors, no anomalous dispersion.

The 10 most intense peaks (10 to 80 degrees two-theta), sorted by position:
2θ/deg	intensity
25.03	2
31.29	2
38.69	3
39.90	100
39.93	21
57.67	13
57.78	6
72.36	11
72.51	25
76.24	2

Structure:
```
data_AlAg5Pd6
_chemical_formula_sum 'Al2 Ag10 Pd12'
_symmetry_space_group_name_H-M 'C m m m'
_symmetry_Int_Tables_number 65
_symmetry_space_group_name_Hall '-C 2 2'
_cell_length_a 4.5151
_cell_length_b 13.5814
_cell_length_c 6.3830
_cell_angle_alpha 90.00
_cell_angle_beta 90.00
_cell_angle_gamma 90.00
loop_
_atom_site_label
_atom_site_type_symbol
_atom_site_fract_x
_atom_site_fract_y
_atom_site_fract_z
Al1 Al 0.0000 0.0000 0.0000
Ag1 Ag 0.0000 0.0000 0.5000
Ag2 Ag 0.0000 0.3254 0.0000
Ag3 Ag 0.0000 0.3300 0.5000
Pd1 Pd 0.0000 0.1550 0.2385
Pd2 Pd 0.0000 0.5000 0.2285
```